BaMo2P4O16: calculated X-ray diffraction stick pattern (a wavelength of 1.5418 Å), based on DFT lattice parameters and positions (PBE+U).
Peak positions follow from Bragg's law for the DFT cell and can differ from measured ones.

Atomic structure:
Cell lengths 6.550, 12.596, 9.355 Å; angles 90.00, 123.42, 90.00 degrees
Space group P2_1/c (No. 14)
Unique sites:
Ba (0.000, 0.000, 0.000)
Mo (0.458, 0.190, 0.660)
P (0.129, 0.693, 0.939)
P (0.347, 0.556, 0.250)
O (0.148, 0.210, 0.660)
O (0.184, 0.531, 0.311)
O (0.184, 0.587, 0.049)
O (0.197, 0.672, 0.808)
O (0.275, 0.716, 0.563)
O (0.318, 0.157, 0.450)
O (0.463, 0.146, 0.153)
O (0.494, 0.538, 0.744)

Peak list (10 most intense, 5 to 70 degrees two-theta, sorted by position)
2θ (°), d (Å), intensity
19.3, 4.590, 87
21.5, 4.129, 45
23.9, 3.729, 56
24.1, 3.699, 100
25.5, 3.493, 37
28.6, 3.123, 29
28.9, 3.087, 21
30.6, 2.920, 45
31.2, 2.870, 36
31.5, 2.842, 20